[1]
Starting from a cell relaxed with PBE, the powder diffraction line list of Nb2B3 was calculated for Cu Kα X-rays.

Structural model:
```
data_Nb2B3
_chemical_formula_sum 'Nb8 B12'
_cell_length_a 3.3275
_cell_length_b 19.5953
_cell_length_c 3.1420
_cell_angle_alpha 90.00
_cell_angle_beta 90.00
_cell_angle_gamma 90.00
_space_group_name_H-M_alt 'C m c m'
_space_group_IT_number 63
_space_group_name_Hall '-C 2c 2'
loop_
_atom_site_label
_atom_site_fract_x
_atom_site_fract_y
_atom_site_fract_z
Nb1 0.0000 0.0688 0.2500
Nb2 0.0000 0.2026 0.7500
B1 0.0000 0.3348 0.7500
B2 0.0000 0.3843 0.2500
B3 0.0000 0.4770 0.2500
```

Main lines, most intense first (2θ = 15–90°):
d 2.645, rel. 100.0, hkl 0 4 1
d 2.156, rel. 98.5, hkl 1 3 1
d 2.142, rel. 66.5, hkl 1 7 0
d 3.281, rel. 56.2, hkl 1 1 0
d 2.449, rel. 32.6, hkl 0 8 0
d 1.663, rel. 30.8, hkl 2 0 0
d 1.408, rel. 27.8, hkl 2 4 1
d 1.405, rel. 27.1, hkl 1 11 1
d 1.267, rel. 24.1, hkl 1 7 2
d 1.974, rel. 18.1, hkl 1 5 1
d 2.268, rel. 15.9, hkl 1 1 1
d 1.571, rel. 15.4, hkl 0 0 2

---

[2]
Starting from a cell relaxed with PBE, the powder diffraction line list of NbB2 was calculated for Cu Kα X-rays.

Structural model:
```
data_NbB2
_chemical_formula_sum 'Nb1 B2'
_cell_length_a 3.1121
_cell_length_b 3.1121
_cell_length_c 3.3375
_cell_angle_alpha 90.00
_cell_angle_beta 90.00
_cell_angle_gamma 120.00
_space_group_name_H-M_alt 'P 6/m m m'
_space_group_IT_number 191
_space_group_name_Hall '-P 6 2'
loop_
_atom_site_label
_atom_site_fract_x
_atom_site_fract_y
_atom_site_fract_z
Nb1 0.0000 0.0000 0.0000
B1 0.3333 0.6667 0.5000
```

Main lines, most intense first (2θ = 15–90°):
d 2.097, rel. 100.0, hkl 1 0 1
d 2.695, rel. 75.4, hkl 1 0 0
d 3.337, rel. 35.5, hkl 0 0 1
d 1.556, rel. 21.2, hkl 1 1 0
d 1.419, rel. 20.5, hkl 1 0 2
d 1.250, rel. 17.6, hkl 2 0 1
d 1.410, rel. 17.2, hkl 1 1 1
d 1.138, rel. 15.1, hkl 1 1 2
d 1.669, rel. 9.0, hkl 0 0 2
d 1.348, rel. 8.6, hkl 2 0 0
d 1.112, rel. 1.3, hkl 0 0 3

---

[3]
Starting from a cell relaxed with PBE, the powder diffraction line list of Nb3B2 was calculated for Cu Kα X-rays.

Structural model:
```
data_Nb3B2
_chemical_formula_sum 'Nb6 B4'
_cell_length_a 6.2352
_cell_length_b 6.2352
_cell_length_c 3.3094
_cell_angle_alpha 90.00
_cell_angle_beta 90.00
_cell_angle_gamma 90.00
_space_group_name_H-M_alt 'P 4/m b m'
_space_group_IT_number 127
_space_group_name_Hall '-P 4 2ab'
loop_
_atom_site_label
_atom_site_fract_x
_atom_site_fract_y
_atom_site_fract_z
Nb1 0.0000 0.0000 0.0000
Nb2 0.1786 0.3214 0.5000
B1 0.1055 0.6055 0.0000
```

Main lines, most intense first (2θ = 15–90°):
d 2.269, rel. 100.0, hkl 2 0 1
d 2.132, rel. 71.5, hkl 2 1 1
d 2.788, rel. 59.1, hkl 2 1 0
d 2.647, rel. 48.4, hkl 1 1 1
d 1.972, rel. 44.6, hkl 3 1 0
d 1.343, rel. 28.3, hkl 3 3 1
d 2.204, rel. 28.0, hkl 2 2 0
d 1.375, rel. 21.9, hkl 4 1 1
d 1.267, rel. 20.1, hkl 3 1 2
d 1.655, rel. 17.3, hkl 0 0 2
d 1.512, rel. 16.7, hkl 4 1 0
d 1.423, rel. 14.7, hkl 2 1 2

---

[4]
Starting from a cell relaxed with PBE, the powder diffraction line list of NbB was calculated for Cu Kα X-rays.

Structural model:
```
data_NbB
_chemical_formula_sum 'Nb4 B4'
_cell_length_a 3.3177
_cell_length_b 8.7808
_cell_length_c 3.1830
_cell_angle_alpha 90.00
_cell_angle_beta 90.00
_cell_angle_gamma 90.00
_space_group_name_H-M_alt 'C m c m'
_space_group_IT_number 63
_space_group_name_Hall '-C 2c 2'
loop_
_atom_site_label
_atom_site_fract_x
_atom_site_fract_y
_atom_site_fract_z
Nb1 0.0000 0.1454 0.2500
B1 0.0000 0.4420 0.2500
```

Main lines, most intense first (2θ = 15–90°):
d 2.222, rel. 100.0, hkl 1 1 1
d 2.577, rel. 95.4, hkl 0 2 1
d 2.195, rel. 92.3, hkl 1 3 0
d 1.395, rel. 54.9, hkl 1 5 1
d 3.104, rel. 53.2, hkl 1 1 0
d 1.288, rel. 31.5, hkl 1 3 2
d 1.807, rel. 28.4, hkl 0 4 1
d 1.659, rel. 16.8, hkl 2 0 0
d 1.591, rel. 14.6, hkl 0 0 2
d 1.416, rel. 10.1, hkl 1 1 2
d 1.173, rel. 10.1, hkl 1 7 0
d 1.323, rel. 10.0, hkl 2 4 0

---

[5]
Starting from a cell relaxed with PBE, the powder diffraction line list of Nb3Ni20B6 was calculated for Cu Kα X-rays.

Structural model:
```
data_Nb3Ni20B6
_chemical_formula_sum 'Nb12 Ni80 B24'
_cell_length_a 10.5884
_cell_length_b 10.5884
_cell_length_c 10.5884
_cell_angle_alpha 90.00
_cell_angle_beta 90.00
_cell_angle_gamma 90.00
_space_group_name_H-M_alt 'F m -3 m'
_space_group_IT_number 225
_space_group_name_Hall '-F 4 2 3'
loop_
_atom_site_label
_atom_site_fract_x
_atom_site_fract_y
_atom_site_fract_z
Nb1 0.0000 0.0000 0.0000
Nb2 0.2500 0.2500 0.2500
Ni1 0.0000 0.1717 0.1717
Ni2 0.1154 0.1154 0.3846
B1 0.0000 0.0000 0.2675
```

Main lines, most intense first (2θ = 15–90°):
d 2.038, rel. 100.0, hkl 3 3 3
d 2.161, rel. 39.6, hkl 4 2 2
d 2.368, rel. 27.7, hkl 4 2 0
d 1.248, rel. 26.9, hkl 6 6 0
d 1.872, rel. 25.9, hkl 4 4 0
d 1.790, rel. 20.1, hkl 5 3 1
d 1.223, rel. 12.8, hkl 5 5 5
d 1.596, rel. 8.0, hkl 6 2 2
d 1.765, rel. 7.8, hkl 6 0 0
d 1.284, rel. 7.6, hkl 6 4 4
d 1.162, rel. 4.5, hkl 9 1 1
d 1.674, rel. 4.3, hkl 6 2 0

---

[6]
Starting from a cell relaxed with PBE, the powder diffraction line list of Nb2Ni21B6 was calculated for Cu Kα X-rays.

Structural model:
```
data_Nb2Ni21B6
_chemical_formula_sum 'Nb8 Ni84 B24'
_cell_length_a 10.5289
_cell_length_b 10.5289
_cell_length_c 10.5289
_cell_angle_alpha 90.00
_cell_angle_beta 90.00
_cell_angle_gamma 90.00
_space_group_name_H-M_alt 'F m -3 m'
_space_group_IT_number 225
_space_group_name_Hall '-F 4 2 3'
loop_
_atom_site_label
_atom_site_fract_x
_atom_site_fract_y
_atom_site_fract_z
Nb1 0.2500 0.2500 0.2500
Ni1 0.0000 0.0000 0.0000
Ni2 0.0000 0.1703 0.1703
Ni3 0.1154 0.1154 0.3846
B1 0.0000 0.0000 0.2674
```

Main lines, most intense first (2θ = 15–90°):
d 2.026, rel. 100.0, hkl 3 3 3
d 2.149, rel. 38.2, hkl 4 2 2
d 2.354, rel. 36.5, hkl 4 2 0
d 1.241, rel. 26.6, hkl 6 6 0
d 1.780, rel. 26.1, hkl 5 3 1
d 1.861, rel. 24.9, hkl 4 4 0
d 1.216, rel. 12.1, hkl 5 5 5
d 1.587, rel. 10.5, hkl 6 2 2
d 1.277, rel. 10.2, hkl 6 4 4
d 1.755, rel. 7.4, hkl 6 0 0
d 1.156, rel. 6.5, hkl 9 1 1
d 1.316, rel. 4.5, hkl 8 0 0

---

[7]
Starting from a cell relaxed with PBE, the powder diffraction line list of NbNiB2 was calculated for Cu Kα X-rays.

Structural model:
```
data_NbNiB2
_chemical_formula_sum 'Nb4 Ni4 B8'
_cell_length_a 6.0493
_cell_length_b 3.1289
_cell_length_c 8.2103
_cell_angle_alpha 90.00
_cell_angle_beta 90.00
_cell_angle_gamma 90.00
_space_group_name_H-M_alt 'P n m a'
_space_group_IT_number 62
loop_
_space_group_symop_operation_xyz
'x,y,z'
'-x,-y,-z'
'-x+1/2,-y,z+1/2'
'x+1/2,y,-z+1/2'
'x+1/2,-y+1/2,-z+1/2'
'-x+1/2,y+1/2,z+1/2'
'-x,y+1/2,-z'
'x,-y+1/2,z'
loop_
_atom_site_label
_atom_site_fract_x
_atom_site_fract_y
_atom_site_fract_z
Nb1 0.1322 0.2500 0.1327
Ni1 0.0010 0.7500 0.3849
B1 0.1709 0.2500 0.8330
B2 0.2412 0.2500 0.4231
```

Main lines, most intense first (2θ = 15–90°):
d 2.301, rel. 100.0, hkl 1 1 2
d 2.053, rel. 29.8, hkl 0 0 4
d 3.397, rel. 29.0, hkl 1 0 2
d 2.175, rel. 27.6, hkl 2 1 0
d 2.838, rel. 24.8, hkl 2 0 1
d 1.958, rel. 20.3, hkl 3 0 1
d 2.632, rel. 18.3, hkl 1 1 1
d 1.950, rel. 15.6, hkl 1 1 3
d 1.493, rel. 14.4, hkl 2 1 4
d 1.564, rel. 13.8, hkl 0 2 0
d 1.343, rel. 12.2, hkl 4 1 1
d 2.102, rel. 11.8, hkl 2 1 1

---

[8]
Starting from a cell relaxed with PBE, the powder diffraction line list of NbBO4 was calculated for Cu Kα X-rays.

Structural model:
```
data_NbBO4
_chemical_formula_sum 'Nb4 B4 O16'
_cell_length_a 6.3277
_cell_length_b 6.3277
_cell_length_c 5.5329
_cell_angle_alpha 90.00
_cell_angle_beta 90.00
_cell_angle_gamma 90.00
_space_group_name_H-M_alt 'I 41/a m d'
_space_group_IT_number 141
loop_
_space_group_symop_operation_xyz
'x,y,z'
'-x,-y,-z'
'-y+1/4,x+3/4,z+1/4'
'y+1/4,-x+3/4,-z+1/4'
'-x+1/2,-y,z+1/2'
'x+1/2,y,-z+1/2'
'y+1/4,-x+1/4,z+3/4'
'-y+1/4,x+1/4,-z+3/4'
'x,-y,-z'
'-x,y,z'
'-y+1/4,-x+1/4,-z+3/4'
'y+1/4,x+1/4,z+3/4'
'-x+1/2,y,-z+1/2'
'x+1/2,-y,z+1/2'
'y+1/4,x+3/4,-z+1/4'
'-y+1/4,-x+3/4,z+1/4'
'x+1/2,y+1/2,z+1/2'
'-x+1/2,-y+1/2,-z+1/2'
'-y+3/4,x+1/4,z+3/4'
'y+3/4,-x+1/4,-z+3/4'
'-x,-y+1/2,z'
'x,y+1/2,-z'
'y+3/4,-x+3/4,z+1/4'
'-y+3/4,x+3/4,-z+1/4'
'x+1/2,-y+1/2,-z+1/2'
'-x+1/2,y+1/2,z+1/2'
'-y+3/4,-x+3/4,-z+1/4'
'y+3/4,x+3/4,z+1/4'
'-x,y+1/2,-z'
'x,-y+1/2,z'
'y+3/4,x+1/4,-z+3/4'
'-y+3/4,-x+1/4,z+3/4'
loop_
_atom_site_label
_atom_site_fract_x
_atom_site_fract_y
_atom_site_fract_z
Nb1 0.0000 0.2500 0.3750
B1 0.0000 0.2500 0.8750
O1 0.0000 0.0732 0.6999
```

Main lines, most intense first (2θ = 15–90°):
d 3.164, rel. 100.0, hkl 2 0 0
d 4.165, rel. 93.1, hkl 1 0 1
d 1.621, rel. 47.2, hkl 3 1 2
d 2.353, rel. 46.3, hkl 1 1 2
d 1.971, rel. 36.5, hkl 3 0 1
d 1.673, rel. 29.8, hkl 3 2 1
d 2.519, rel. 26.3, hkl 2 1 1
d 1.771, rel. 22.5, hkl 1 0 3
d 1.313, rel. 15.7, hkl 3 3 2
d 1.582, rel. 13.2, hkl 4 0 0
d 1.234, rel. 12.5, hkl 4 3 1
d 2.237, rel. 11.1, hkl 2 2 0